For Ac3Be2AgO8, a crystal structure in Alexandria, relaxed with PBE gives the computed powder diffractogram in this record (Cu Kα).
Intensities are scaled so that the largest is 100.

Structural model:
Cell: 5.5317 5.5317 7.0686 Å, 90.00 90.00 120.00°
Space group P-3m1 (No. 164)
One atom of each set of equivalent atoms:
Ac 0.0000 0.0000 0.0000 [1 per cell]
Ac 0.3333 0.6667 0.6662 [2 per cell]
Be 0.3333 0.6667 0.2102 [2 per cell]
Ag 0.0000 0.0000 0.5000 [1 per cell]
O 0.1728 0.3457 0.2971 [6 per cell]
O 0.3333 0.6667 0.9874 [2 per cell]

Peak list (10 most intense, 2θ = 5–70°, sorted by position)
| d/Å | I (rel.) | h k l |
| --- | --- | --- |
| 3.966 | 95 | 1 0 1 |
| 2.844 | 96 | 0 1 2 |
| 2.766 | 100 | 1 1 0 |
| 2.269 | 39 | 0 2 1 |
| 1.983 | 45 | 2 0 2 |
| 1.794 | 28 | 1 1 3 |
| 1.754 | 23 | 2 1 1 |
| 1.658 | 21 | 1 0 4 |
| 1.612 | 36 | 1 2 2 |
| 1.597 | 20 | 3 0 0 |



For Ac2PrIn, a crystal structure in Alexandria, relaxed with PBE gives the computed powder diffractogram in this record (Cu Kα).
Intensities are scaled so that the largest is 100.

Structural model:
Cell: 6.5846 5.9788 7.3556 Å, 90.00 90.03 90.00°
Space group P2_1/m (No. 11)
One atom of each set of equivalent atoms:
Ac 0.1642 0.2500 0.4955 [2 per cell]
Ac 0.1662 0.2500 0.0027 [2 per cell]
Pr 0.3728 0.7500 0.7485 [2 per cell]
In 0.3418 0.7500 0.2501 [2 per cell]

Peak list (10 most intense, 2θ = 5–70°, sorted by position)
| d/Å | I (rel.) | h k l |
| --- | --- | --- |
| 4.426 | 14 | 1 1 0 |
| 3.211 | 31 | 1 0 2 |
| 2.989 | 42 | 0 2 0 |
| 2.884 | 63 | 2 1 0 |
| 2.829 | 100 | 1 1 -2 |
| 2.188 | 22 | 1 2 2 |
| 1.885 | 20 | 3 0 2 |
| 1.693 | 22 | 1 3 -2 |
| 1.594 | 24 | 3 2 2 |
| 1.551 | 20 | 2 1 4 |



For Zn3Rh13, a crystal structure in Alexandria, relaxed with PBE gives the computed powder diffractogram in this record (Cu Kα).
Intensities are scaled so that the largest is 100.

Structural model:
Cell: 5.4667 8.7791 9.4460 Å, 90.00 90.00 90.00°
Space group Amm2 (No. 38)
One atom of each set of equivalent atoms:
Zn 0.0000 0.0000 0.0000 [2 per cell]
Zn 0.2523 0.0000 0.7439 [4 per cell]
Rh 0.0000 0.0000 0.4929 [2 per cell]
Rh 0.0000 0.2476 0.6615 [4 per cell]
Rh 0.2501 0.2482 0.9121 [8 per cell]
Rh 0.2517 0.0000 0.2458 [4 per cell]
Rh 0.5000 0.0000 0.4967 [2 per cell]
Rh 0.5000 0.0000 0.9986 [2 per cell]
Rh 0.5000 0.2493 0.1608 [4 per cell]

Peak list (8 most intense, 2θ = 5–70°, sorted by position)
| d/Å | I (rel.) | h k l |
| --- | --- | --- |
| 6.431 | 2 | 0 1 1 |
| 4.390 | 1 | 0 2 0 |
| 2.364 | 25 | 2 0 2 |
| 2.195 | 26 | 0 4 0 |
| 2.082 | 100 | 0 2 4 |
| 1.609 | 15 | 2 4 2 |
| 1.367 | 5 | 4 0 0 |
| 1.364 | 11 | 2 0 6 |



For CaAc3Pb12, a crystal structure in Alexandria, relaxed with PBE gives the computed powder diffractogram in this record (Cu Kα).
Intensities are scaled so that the largest is 100.

Structural model:
Cell: 5.0198 5.0198 20.2374 Å, 90.00 90.00 90.00°
Space group P4/mmm (No. 123)
One atom of each set of equivalent atoms:
Ca 0.0000 0.0000 0.0000 [1 per cell]
Ac 0.0000 0.0000 0.2477 [2 per cell]
Ac 0.0000 0.0000 0.5000 [1 per cell]
Pb 0.0000 0.5000 0.1187 [4 per cell]
Pb 0.0000 0.5000 0.3736 [4 per cell]
Pb 0.5000 0.5000 0.0000 [1 per cell]
Pb 0.5000 0.5000 0.2466 [2 per cell]
Pb 0.5000 0.5000 0.5000 [1 per cell]

Peak list (10 most intense, 2θ = 5–70°, sorted by position)
| d/Å | I (rel.) | h k l |
| --- | --- | --- |
| 4.872 | 1 | 1 0 1 |
| 3.144 | 2 | 1 1 3 |
| 2.906 | 100 | 1 1 4 |
| 2.530 | 17 | 0 0 8 |
| 2.510 | 34 | 2 0 0 |
| 1.782 | 24 | 2 0 8 |
| 1.775 | 12 | 2 2 0 |
| 1.523 | 14 | 1 1 12 |
| 1.515 | 30 | 3 1 4 |
| 1.453 | 13 | 2 2 8 |



For La4PrNd2Sc, a crystal structure in Alexandria, relaxed with PBE gives the computed powder diffractogram in this record (Cu Kα).
Intensities are scaled so that the largest is 100.

Structural model:
Cell: 6.1665 6.1704 7.4798 Å, 90.00 90.00 90.00°
Space group Pmmm (No. 47)
One atom of each set of equivalent atoms:
La 0.0000 0.0000 0.2311 [2 per cell]
La 0.5000 0.5000 0.2350 [2 per cell]
Pr 0.5000 0.0000 0.5000 [1 per cell]
Nd 0.0000 0.5000 0.5000 [1 per cell]
Nd 0.5000 0.0000 0.0000 [1 per cell]
Sc 0.0000 0.5000 0.0000 [1 per cell]

Peak list (10 most intense, 2θ = 5–70°, sorted by position)
| d/Å | I (rel.) | h k l |
| --- | --- | --- |
| 3.084 | 64 | 2 0 0 |
| 2.839 | 100 | 1 1 2 |
| 2.181 | 24 | 2 2 0 |
| 1.870 | 7 | 0 0 4 |
| 1.730 | 46 | 3 1 2 |
| 1.599 | 16 | 2 0 4 |
| 1.542 | 8 | 4 0 0 |
| 1.420 | 11 | 2 2 4 |
| 1.379 | 11 | 4 2 0 |
| 1.355 | 10 | 3 3 2 |